1.
Diffraction record for KTi16O32. The powder diffractogram is computed, not measured: it uses a PBE-relaxed structure and Cu Kα, 1.54184 Å.
Neutral-atom scattering factors, no anomalous dispersion.

Atomic structure:
Cell: 8.540 8.542 10.417 Å, 102.71 112.02 105.90°
Space group P-1 (No. 2)
Symmetry-distinct sites (fractional):
K (0.000, 0.000, 0.000) [1 per cell]
Ti (0.180, 0.860, 0.391) [2 per cell]
Ti (0.181, 0.112, 0.643) [2 per cell]
Ti (0.183, 0.607, 0.144) [2 per cell]
Ti (0.190, 0.368, 0.893) [2 per cell]
Ti (0.465, 0.310, 0.493) [2 per cell]
Ti (0.467, 0.813, 0.993) [2 per cell]
Ti (0.468, 0.563, 0.743) [2 per cell]
Ti (0.476, 0.060, 0.250) [2 per cell]
O (0.052, 0.123, 0.760) [2 per cell]
O (0.052, 0.621, 0.258) [2 per cell]
O (0.052, 0.872, 0.507) [2 per cell]
O (0.053, 0.371, 0.008) [2 per cell]
O (0.294, 0.124, 0.503) [2 per cell]
O (0.294, 0.875, 0.251) [2 per cell]
O (0.295, 0.374, 0.752) [2 per cell]
O (0.295, 0.625, 0.003) [2 per cell]
O (0.362, 0.227, 0.279) [2 per cell]
O (0.363, 0.729, 0.781) [2 per cell]
O (0.363, 0.979, 0.032) [2 per cell]
O (0.364, 0.479, 0.531) [2 per cell]
O (0.377, 0.076, 0.781) [2 per cell]
O (0.377, 0.325, 0.031) [2 per cell]
O (0.379, 0.826, 0.530) [2 per cell]
O (0.380, 0.577, 0.282) [2 per cell]

Largest 10 diffraction maxima, low angle first, 10 to 90 degrees two-theta:
- 12.2 deg, I = 100, (1 0 0)
- 17.2 deg, I = 83, (1 1 -1)
- 27.4 deg, I = 80, (2 -1 1)
- 34.9 deg, I = 20, (2 2 -2)
- 35.9 deg, I = 62, (-2 3 1)
- 40.1 deg, I = 32, (3 0 -4)
- 47.5 deg, I = 34, (1 3 1)
- 53.4 deg, I = 18, (3 3 -3)
- 57.3 deg, I = 39, (3 2 -6)
- 66.0 deg, I = 32, (3 2 2)

***

2.
Diffraction record for RbGaAs. The powder diffractogram is computed, not measured: it uses a PBE-relaxed structure and Cu Kα, 1.54184 Å.
Neutral-atom scattering factors, no anomalous dispersion.

Atomic structure:
Cell: 8.345 5.765 7.703 Å, 90.00 94.22 90.00°
Space group P2_1/c (No. 14)
Symmetry-distinct sites (fractional):
Rb (0.155, 0.034, 0.231) [4 per cell]
Ga (0.466, 0.697, 0.069) [4 per cell]
As (0.326, 0.535, 0.337) [4 per cell]

Largest 10 diffraction maxima, low angle first, 10 to 90 degrees two-theta:
- 10.6 deg, I = 57, (1 0 0)
- 24.8 deg, I = 29, (1 0 -2)
- 28.2 deg, I = 27, (2 1 -1)
- 29.5 deg, I = 100, (2 1 1)
- 30.5 deg, I = 32, (2 0 -2)
- 38.0 deg, I = 23, (2 2 0)
- 38.5 deg, I = 18, (0 1 3)
- 39.1 deg, I = 30, (0 2 2)
- 47.1 deg, I = 17, (4 1 -1)
- 51.5 deg, I = 22, (4 0 2)

***

3.
Diffraction record for Ce2CuSi3. The powder diffractogram is computed, not measured: it uses a PBE-relaxed structure and Cu Kα, 1.54184 Å.
Neutral-atom scattering factors, no anomalous dispersion.

Atomic structure:
Cell: 4.064 4.187 6.979 Å, 90.00 90.00 90.00°
Space group Pmm2 (No. 25)
Symmetry-distinct sites (fractional):
Ce (0.000, 0.000, 0.000) [1 per cell]
Ce (0.500, 0.000, 0.487) [1 per cell]
Cu (0.000, 0.500, 0.664) [1 per cell]
Si (0.000, 0.500, 0.333) [1 per cell]
Si (0.500, 0.500, 0.158) [1 per cell]
Si (0.500, 0.500, 0.822) [1 per cell]

Largest 10 diffraction maxima, low angle first, 10 to 90 degrees two-theta:
- 25.4 deg, I = 33, (1 0 1)
- 25.5 deg, I = 15, (0 0 2)
- 33.3 deg, I = 100, (1 1 1)
- 33.4 deg, I = 50, (0 1 2)
- 43.2 deg, I = 18, (0 2 0)
- 44.6 deg, I = 17, (2 0 0)
- 44.9 deg, I = 31, (1 0 3)
- 56.9 deg, I = 21, (2 1 2)
- 64.1 deg, I = 21, (1 2 3)
- 73.0 deg, I = 15, (0 3 2)

***

4.
Diffraction record for LaEr2AlPd4. The powder diffractogram is computed, not measured: it uses a PBE-relaxed structure and Cu Kα, 1.54184 Å.
Neutral-atom scattering factors, no anomalous dispersion.

Atomic structure:
Cell: 4.7829 4.7829 25.2002 Å, 90.00 90.00 120.00°
Space group R-3m (No. 166, hexagonal axes)
Symmetry-distinct sites (fractional):
La (0.0000, 0.0000, 0.0000) [3 per cell]
Er (0.0000, 0.0000, 0.2405) [6 per cell]
Al (0.0000, 0.0000, 0.5000) [3 per cell]
Pd (0.0000, 0.0000, 0.1302) [6 per cell]
Pd (0.0000, 0.0000, 0.3967) [6 per cell]

Largest 10 diffraction maxima, low angle first, 10 to 90 degrees two-theta:
- 21.2 deg, I = 11, (0 0 6)
- 27.9 deg, I = 23, (0 1 5)
- 35.8 deg, I = 78, (0 1 8)
- 37.6 deg, I = 100, (1 1 0)
- 43.5 deg, I = 11, (1 1 6)
- 45.2 deg, I = 13, (0 1 11)
- 52.9 deg, I = 25, (2 0 8)
- 66.7 deg, I = 25, (1 2 8)
- 67.9 deg, I = 17, (3 0 0)
- 80.3 deg, I = 11, (2 2 0)

***

5.
Diffraction record for CsAgPbSe2. The powder diffractogram is computed, not measured: it uses a PBE-relaxed structure and Cu Kα, 1.54184 Å.
Neutral-atom scattering factors, no anomalous dispersion.

Atomic structure:
Cell: 7.388 15.804 6.297 Å, 90.00 90.00 90.00°
Space group Cmme (No. 67)
Symmetry-distinct sites (fractional):
Cs (0.000, 0.250, 0.235) [4 per cell]
Ag (0.000, 0.000, 0.000) [4 per cell]
Pb (0.250, 0.000, 0.500) [4 per cell]
Se (0.000, 0.119, 0.738) [8 per cell]

Largest 10 diffraction maxima, low angle first, 10 to 90 degrees two-theta:
- 11.2 deg, I = 91, (0 2 0)
- 22.5 deg, I = 41, (0 4 0)
- 25.1 deg, I = 100, (1 3 1)
- 28.0 deg, I = 58, (2 0 1)
- 30.2 deg, I = 88, (2 2 1)
- 30.6 deg, I = 86, (0 2 2)
- 34.0 deg, I = 37, (1 5 1)
- 36.2 deg, I = 69, (2 4 1)
- 37.5 deg, I = 38, (2 0 2)
- 44.9 deg, I = 37, (0 6 2)

***

6.
Diffraction record for Cs4HfO4. The powder diffractogram is computed, not measured: it uses a PBE-relaxed structure and Cu Kα, 1.54184 Å.
Neutral-atom scattering factors, no anomalous dispersion.

Atomic structure:
Cell: 6.691 6.691 11.490 Å, 90.00 90.00 90.00°
Space group I-42m (No. 121)
Symmetry-distinct sites (fractional):
Cs (0.195, 0.195, 0.351) [8 per cell]
Hf (0.000, 0.000, 0.000) [2 per cell]
O (0.169, 0.169, 0.101) [8 per cell]

Largest 10 diffraction maxima, low angle first, 10 to 90 degrees two-theta:
- 18.8 deg, I = 31, (1 1 0)
- 24.4 deg, I = 91, (1 1 2)
- 26.8 deg, I = 44, (1 0 3)
- 30.9 deg, I = 100, (2 1 1)
- 38.0 deg, I = 20, (2 2 0)
- 41.2 deg, I = 24, (3 0 1)
- 41.4 deg, I = 36, (2 0 4)
- 50.0 deg, I = 19, (2 1 5)
- 55.0 deg, I = 28, (3 2 3)
- 57.3 deg, I = 19, (4 1 1)

***

7.
Diffraction record for Pm3Sm5Dy. The powder diffractogram is computed, not measured: it uses a PBE-relaxed structure and Cu Kα, 1.54184 Å.
Neutral-atom scattering factors, no anomalous dispersion.

Atomic structure:
Cell: 15.381 11.652 9.915 Å, 90.00 129.79 90.00°
Space group C2/m (No. 12)
Symmetry-distinct sites (fractional):
Pm (0.000, 0.000, 0.000) [2 per cell]
Pm (0.000, 0.500, 0.500) [2 per cell]
Pm (0.006, 0.000, 0.317) [4 per cell]
Pm (0.016, 0.500, 0.853) [4 per cell]
Sm (0.000, 0.247, 0.500) [4 per cell]
Sm (0.151, 0.248, 0.240) [8 per cell]
Sm (0.225, 0.000, 0.729) [4 per cell]
Sm (0.225, 0.500, 0.547) [4 per cell]
Dy (0.248, 0.500, 0.906) [4 per cell]

Largest 10 diffraction maxima, low angle first, 10 to 90 degrees two-theta:
- 15.2 deg, I = 61, (0 2 0)
- 23.5 deg, I = 30, (2 2 -2)
- 28.8 deg, I = 68, (2 2 1)
- 30.2 deg, I = 32, (4 0 0)
- 30.7 deg, I = 100, (0 4 0)
- 31.9 deg, I = 72, (1 1 -3)
- 32.0 deg, I = 98, (5 1 -3)
- 34.0 deg, I = 71, (4 2 0)
- 38.8 deg, I = 46, (1 3 -3)
- 39.0 deg, I = 49, (5 3 -3)

***

8.
Diffraction record for LaSm3Dy2. The powder diffractogram is computed, not measured: it uses a PBE-relaxed structure and Cu Kα, 1.54184 Å.
Neutral-atom scattering factors, no anomalous dispersion.

Atomic structure:
Cell: 11.464 7.045 11.455 Å, 90.00 119.85 90.00°
Space group C2/c (No. 15)
Symmetry-distinct sites (fractional):
La (0.000, 0.004, 0.250) [4 per cell]
Sm (0.000, 0.498, 0.250) [4 per cell]
Sm (0.169, 0.252, 0.085) [8 per cell]
Dy (0.164, 0.250, 0.581) [8 per cell]

Largest 10 diffraction maxima, low angle first, 10 to 90 degrees two-theta:
- 31.1 deg, I = 100, (2 0 2)
- 31.2 deg, I = 22, (2 0 -4)
- 40.6 deg, I = 9, (4 2 -2)
- 44.7 deg, I = 21, (4 2 -4)
- 51.9 deg, I = 5, (0 4 0)
- 55.4 deg, I = 7, (2 2 4)
- 55.5 deg, I = 23, (6 0 0)
- 61.8 deg, I = 19, (2 4 2)
- 65.1 deg, I = 5, (8 0 -4)
- 79.4 deg, I = 6, (6 4 0)

***

9.
Diffraction record for PaNbIr. The powder diffractogram is computed, not measured: it uses a PBE-relaxed structure and Cu Kα, 1.54184 Å.
Neutral-atom scattering factors, no anomalous dispersion.

Atomic structure:
Cell: 7.151 7.151 5.229 Å, 90.00 90.00 90.00°
Space group P4_2/mmc (No. 131)
Symmetry-distinct sites (fractional):
Pa (0.000, 0.271, 0.000) [4 per cell]
Nb (0.327, 0.500, 0.500) [4 per cell]
Ir (0.000, 0.301, 0.500) [4 per cell]

Largest 10 diffraction maxima, low angle first, 10 to 90 degrees two-theta:
- 12.4 deg, I = 51, (1 0 0)
- 27.9 deg, I = 100, (2 1 0)
- 30.3 deg, I = 26, (2 0 1)
- 34.3 deg, I = 76, (0 0 2)
- 35.5 deg, I = 95, (2 2 0)
- 37.7 deg, I = 49, (3 0 0)
- 44.8 deg, I = 57, (2 1 2)
- 50.2 deg, I = 72, (2 2 2)
- 51.9 deg, I = 40, (3 0 2)
- 63.0 deg, I = 27, (4 0 2)